No. 1
Starting from DFT lattice parameters and positions (PBE), the powder XRD pattern of K2Sn2Cl7 was simulated for CuKα.
Kinematic intensities with the Lorentz-polarization factor, no thermal factor.

Main lines, most intense first (2θ from 10° to 80°):
2θ = 36.00°, intensity 100
2θ = 23.01°, intensity 92
2θ = 12.04°, intensity 70
2θ = 21.15°, intensity 61
2θ = 35.06°, intensity 32
2θ = 42.36°, intensity 27
2θ = 39.68°, intensity 26
2θ = 37.27°, intensity 24

Atomic structure:
```
K2Sn2Cl7
1.0
4.5425 -5.1188 0.0000
4.5425 5.1188 0.0000
0.0000 0.0000 7.3516
K Sn Cl
2 2 7
direct
0.2451 0.2451 0.0000
0.7549 0.7549 0.0000
0.2751 0.7249 0.5000
0.7249 0.2751 0.5000
0.0000 0.0000 0.5000
0.0000 0.5000 0.2604
0.0000 0.5000 0.7396
0.5000 0.0000 0.2604
0.5000 0.0000 0.7396
0.5000 0.5000 0.2800
0.5000 0.5000 0.7200
```

---

No. 2
Starting from DFT lattice parameters and positions (PBE), the powder XRD pattern of KSn3Cl8 was simulated for CuKα.
Kinematic intensities with the Lorentz-polarization factor, no thermal factor.

Main lines, most intense first (2θ from 10° to 80°):
2θ = 17.43°, intensity 100
2θ = 19.75°, intensity 97
2θ = 33.19°, intensity 73
2θ = 31.33°, intensity 44
2θ = 11.61°, intensity 43
2θ = 23.33°, intensity 41
2θ = 40.25°, intensity 34
2θ = 39.18°, intensity 33

Atomic structure:
```
KSn3Cl8
1.0
5.3978 0.0000 0.0000
2.6968 8.6212 0.0000
2.6668 3.8767 8.9892
K Sn Cl
1 3 8
direct
0.0000 0.0000 0.0000
0.2832 0.4313 0.0045
0.2933 0.9068 0.5038
0.5884 0.2937 0.5219
0.1112 0.2054 0.5662
0.1300 0.5522 0.1948
0.2193 0.7577 0.8037
0.3583 0.0858 0.1977
0.4526 0.6208 0.4700
0.5030 0.1866 0.8045
0.7799 0.9344 0.5031
0.8089 0.4030 0.9800
```

---

No. 3
Starting from DFT lattice parameters and positions (PBE), the powder XRD pattern of K2Sn5Cl12 was simulated for CuKα.
Kinematic intensities with the Lorentz-polarization factor, no thermal factor.

Main lines, most intense first (2θ from 10° to 80°):
2θ = 14.19°, intensity 100
2θ = 23.84°, intensity 83
2θ = 23.01°, intensity 62
2θ = 36.23°, intensity 61
2θ = 37.15°, intensity 60
2θ = 19.98°, intensity 54
2θ = 15.84°, intensity 51
2θ = 11.85°, intensity 48

Atomic structure:
```
K2Sn5Cl12
1.0
12.0506 0.0000 0.0000
0.0000 9.6810 0.0000
-4.7170 0.0000 11.7412
K Sn Cl
4 10 24
direct
0.0000 0.0000 0.0000
0.0565 0.5000 0.2127
0.6474 0.5000 0.3495
0.9395 0.0000 0.3439
0.0184 0.5000 0.8258
0.2708 0.0000 0.8069
0.3874 0.5000 0.9288
0.3905 0.2166 0.4770
0.3905 0.7834 0.4770
0.4762 0.0000 0.2273
0.7079 0.2755 0.9832
0.7079 0.7245 0.9832
0.8096 0.2109 0.6085
0.8096 0.7891 0.6085
0.0058 0.2127 0.8140
0.0058 0.7873 0.8140
0.1740 0.5000 0.0280
0.1864 0.3098 0.4253
0.1864 0.6902 0.4253
0.2000 0.5000 0.7434
0.2788 0.0000 0.3524
0.3713 0.0000 0.6620
0.4047 0.1932 0.9373
0.4047 0.8068 0.9373
0.4277 0.2864 0.2885
0.4277 0.7136 0.2885
0.5146 0.5000 0.8062
0.6058 0.0000 0.4442
0.6633 0.0000 0.1809
0.6730 0.5000 0.1160
0.7281 0.0000 0.8881
0.7373 0.5000 0.6197
0.8331 0.5000 0.9404
0.8677 0.3012 0.4512
0.8677 0.6988 0.4512
0.9136 0.2180 0.1393
0.9136 0.7820 0.1393
0.9495 0.0000 0.5898
```